Structure and computed XRD peak list of ThCd11 (a structure optimized by DFT (PBE); Cu Kα X-rays).
Kinematic intensities with the Lorentz-polarization factor, no thermal factor.

Cell and atoms:
Cell: 9.4310 9.4310 9.4310 Å, 90.00 90.00 90.00°
Space group Pm-3m (No. 221)
Unique sites:
Th (0.0000, 0.0000, 0.5000) [3 per cell]
Cd (0.0000, 0.3444, 0.3444) [12 per cell]
Cd (0.1548, 0.1548, 0.1548) [8 per cell]
Cd (0.2656, 0.2656, 0.5000) [12 per cell]
Cd (0.5000, 0.5000, 0.5000) [1 per cell]

Principal peaks in the range 10° ≤ 2θ ≤ 80°, low angle first:
- 2θ = 30.0°, rel. 34, (3 1 0)
- 2θ = 31.5°, rel. 100, (3 1 1)
- 2θ = 32.9°, rel. 77, (2 2 2)
- 2θ = 34.3°, rel. 40, (3 2 0)
- 2θ = 39.4°, rel. 65, (4 1 0)
- 2θ = 40.6°, rel. 46, (3 3 0)
- 2θ = 44.0°, rel. 46, (4 2 1)
- 2θ = 55.1°, rel. 22, (4 4 0)
- 2θ = 57.8°, rel. 21, (5 3 1)
- 2θ = 77.8°, rel. 24, (7 3 1)

---

Structure and computed XRD peak list of Th6Cd23 (a structure optimized by DFT (PBE); Cu Kα X-rays).
Kinematic intensities with the Lorentz-polarization factor, no thermal factor.

Cell and atoms:
Cell: 14.1534 14.1534 14.1534 Å, 90.00 90.00 90.00°
Space group Fm-3m (No. 225)
Unique sites:
Th (0.0000, 0.0000, 0.1935) [24 per cell]
Cd (0.0000, 0.0000, 0.5000) [4 per cell]
Cd (0.0000, 0.2500, 0.2500) [24 per cell]
Cd (0.1196, 0.1196, 0.3804) [32 per cell]
Cd (0.1669, 0.1669, 0.1669) [32 per cell]

Principal peaks in the range 10° ≤ 2θ ≤ 80°, low angle first:
- 2θ = 27.5°, rel. 18, (3 3 1)
- 2θ = 31.0°, rel. 32, (4 2 2)
- 2θ = 32.9°, rel. 100, (3 3 3)
- 2θ = 35.9°, rel. 95, (4 4 0)
- 2θ = 38.2°, rel. 23, (6 0 0)
- 2θ = 49.5°, rel. 13, (7 3 1)
- 2θ = 55.1°, rel. 30, (6 6 0)
- 2θ = 56.3°, rel. 15, (5 5 5)
- 2θ = 59.9°, rel. 14, (8 4 2)
- 2θ = 65.6°, rel. 26, (9 3 3)

---

Structure and computed XRD peak list of Th6Cd7 (a structure optimized by DFT (PBE); Cu Kα X-rays).
Kinematic intensities with the Lorentz-polarization factor, no thermal factor.

Cell and atoms:
Cell: 9.9392 11.6900 6.0410 Å, 90.00 90.00 90.00°
Space group Pbam (No. 55)
Unique sites:
Th (0.0496, 0.1263, 0.0000) [4 per cell]
Th (0.1565, 0.9566, 0.5000) [4 per cell]
Th (0.1679, 0.4140, 0.0000) [4 per cell]
Cd (0.0000, 0.5000, 0.5000) [2 per cell]
Cd (0.0967, 0.2525, 0.5000) [4 per cell]
Cd (0.1548, 0.6808, 0.2439) [8 per cell]

Principal peaks in the range 10° ≤ 2θ ≤ 80°, low angle first:
- 2θ = 29.6°, rel. 36, (0 0 2)
- 2θ = 31.7°, rel. 100, (3 1 1)
- 2θ = 31.9°, rel. 51, (1 4 0)
- 2θ = 32.8°, rel. 87, (2 3 1)
- 2θ = 33.4°, rel. 21, (0 2 2)
- 2θ = 34.1°, rel. 52, (0 4 1)
- 2θ = 34.6°, rel. 31, (1 2 2)
- 2θ = 35.6°, rel. 80, (3 3 0)
- 2θ = 53.9°, rel. 22, (3 1 3)
- 2θ = 57.7°, rel. 27, (5 2 2)

---

Structure and computed XRD peak list of Ti2Cd (a structure optimized by DFT (PBE); Cu Kα X-rays).
Kinematic intensities with the Lorentz-polarization factor, no thermal factor.

Cell and atoms:
Cell: 2.8633 2.8633 13.5648 Å, 90.00 90.00 90.00°
Space group I4/mmm (No. 139)
Unique sites:
Ti (0.0000, 0.0000, 0.1779) [4 per cell]
Cd (0.0000, 0.0000, 0.5000) [2 per cell]

Principal peaks in the range 10° ≤ 2θ ≤ 80°, low angle first:
- 2θ = 13.1°, rel. 20, (0 0 2)
- 2θ = 26.3°, rel. 12, (0 0 4)
- 2θ = 31.9°, rel. 19, (1 0 1)
- 2θ = 37.2°, rel. 100, (1 0 3)
- 2θ = 39.9°, rel. 19, (0 0 6)
- 2θ = 44.8°, rel. 29, (1 1 0)
- 2θ = 61.5°, rel. 20, (1 1 6)
- 2θ = 70.6°, rel. 11, (1 0 9)
- 2θ = 77.5°, rel. 20, (2 1 3)
- 2θ = 79.2°, rel. 9, (2 0 6)